Calculated powder diffractogram of Tb6Y4Th for copper Kα, from DFT lattice parameters and positions (GGA-PBE).
Lines closer than 0.1° are merged.

Structure:
```
data_Tb6Y4Th
_chemical_formula_sum 'Tb24 Y16 Th4'
_space_group_name_H-M_alt 'C m c m'
_space_group_IT_number 63
_space_group_name_Hall '-C 2c 2'
_cell_length_a 5.7516
_cell_length_b 9.6797
_cell_length_c 25.7253
_cell_angle_alpha 90.00
_cell_angle_beta 90.00
_cell_angle_gamma 90.00
loop_
_atom_site_label
_atom_site_fract_x
_atom_site_fract_y
_atom_site_fract_z
Tb1 0.0000 0.0000 0.0000
Tb2 0.0000 0.0323 0.2500
Tb3 0.0000 0.3063 0.6022
Tb4 0.0000 0.3651 0.1827
Y1 0.0000 0.0342 0.1222
Y2 0.0000 0.3448 0.0419
Th1 0.0000 0.3033 0.7500
```

Peak list (10 most intense, 10° ≤ 2θ ≤ 80°, by intensity)
d [Å]  I/Imax  index
2.814  100  1 3 0
2.950  83  1 1 7
2.876  69  2 0 0
2.927  53  0 2 7
2.051  39  2 2 7
2.696  38  1 1 8
2.797  33  1 3 1
1.648  20  3 3 0
3.212  16  0 0 8
1.674  16  3 1 7